# TaRePS2
Simulated powder X-ray diffraction pattern, Cu Kα X-rays. Input: the PBE geometry in Alexandria.
Intensities are scaled so that the largest is 100.

Lattice parameters (Å, degrees): 4.681 4.681 5.058 90.00 90.00 90.00
Space group P4/mmm (No. 123)
Unique sites:
Ta 0.000 0.000 0.000
Re 0.500 0.500 0.500
P 0.000 0.000 0.500
S 0.000 0.500 0.000

Main lines, in order of rising 2θ (2θ from 10° to 90°):
| 2θ/deg | d [Å] | I_rel | (hkl) |
| --- | --- | --- | --- |
| 25.9 | 3.435 | 100.0 | 1 0 1 |
| 26.9 | 3.310 | 44.1 | 1 1 0 |
| 35.5 | 2.529 | 21.5 | 0 0 2 |
| 38.5 | 2.340 | 34.4 | 2 0 0 |
| 45.1 | 2.010 | 22.9 | 1 1 2 |
| 47.0 | 1.934 | 41.7 | 2 1 1 |
| 53.3 | 1.718 | 26.5 | 2 0 2 |
| 55.5 | 1.655 | 11.7 | 2 2 0 |
| 67.7 | 1.385 | 13.0 | 2 2 2 |
| 71.9 | 1.313 | 11.9 | 2 1 3 |

# ScFe4C2
Simulated powder X-ray diffraction pattern, Cu Kα X-rays. Input: the PBE geometry in Alexandria.
Intensities are scaled so that the largest is 100.

Lattice parameters (Å, degrees): 6.675 6.675 3.124 90.00 90.00 90.00
Space group P4_2/mnm (No. 136)
Unique sites:
Sc 0.000 0.000 0.000
Fe 0.078 0.323 0.500
C 0.213 0.787 0.500

Main lines, in order of rising 2θ (2θ from 10° to 90°):
| 2θ/deg | d [Å] | I_rel | (hkl) |
| --- | --- | --- | --- |
| 18.8 | 4.720 | 22.5 | 1 1 0 |
| 34.4 | 2.605 | 28.7 | 1 1 1 |
| 41.9 | 2.158 | 100.0 | 2 1 1 |
| 42.8 | 2.111 | 45.6 | 3 1 0 |
| 48.3 | 1.883 | 41.9 | 2 2 1 |
| 49.2 | 1.851 | 17.1 | 3 2 0 |
| 52.3 | 1.749 | 29.6 | 3 1 1 |
| 56.9 | 1.619 | 25.9 | 4 1 0 |
| 59.1 | 1.562 | 18.5 | 0 0 2 |
| 77.8 | 1.228 | 21.8 | 5 0 1 |

# Pu5RuAu
Simulated powder X-ray diffraction pattern, Cu Kα X-rays. Input: the PBE geometry in Alexandria.
Intensities are scaled so that the largest is 100.

Lattice parameters (Å, degrees): 5.002 4.839 7.225 90.00 99.33 90.00
Space group P2/m (No. 10)
Unique sites:
Pu 0.000 0.000 0.000
Pu 0.086 0.500 0.298
Pu 0.471 0.000 0.723
Ru 0.000 0.000 0.500
Au 0.500 0.500 0.000

Main lines, in order of rising 2θ (2θ from 10° to 90°):
| 2θ/deg | d [Å] | I_rel | (hkl) |
| --- | --- | --- | --- |
| 30.0 | 2.980 | 45.4 | 1 1 1 |
| 34.0 | 2.635 | 100.0 | 1 1 -2 |
| 36.4 | 2.468 | 27.6 | 2 0 0 |
| 37.2 | 2.420 | 39.9 | 0 2 0 |
| 37.9 | 2.376 | 15.0 | 0 0 3 |
| 38.3 | 2.351 | 43.8 | 1 1 2 |
| 53.0 | 1.728 | 19.3 | 2 2 0 |
| 61.2 | 1.515 | 14.8 | 3 1 -2 |
| 65.0 | 1.435 | 24.6 | 1 3 -2 |
| 71.6 | 1.318 | 11.8 | 2 2 -4 |

# Nd12ErAl6
Simulated powder X-ray diffraction pattern, Cu Kα X-rays. Input: the PBE geometry in Alexandria.
Intensities are scaled so that the largest is 100.

Lattice parameters (Å, degrees): 11.3542 11.3542 14.5883 90.00 90.00 120.00
Space group R-3 (No. 148, hexagonal axes)
Unique sites:
Nd 0.0385 0.8461 0.3060
Nd 0.0634 0.2222 0.9114
Er 0.0000 0.0000 0.5000
Al 0.0364 0.5928 0.2047

Main lines, in order of rising 2θ (2θ from 10° to 90°):
| 2θ/deg | d [Å] | I_rel | (hkl) |
| --- | --- | --- | --- |
| 21.8 | 4.077 | 43.6 | 2 0 2 |
| 24.7 | 3.601 | 100.0 | 3 -1 1 |
| 32.0 | 2.797 | 99.3 | 0 1 5 |
| 33.0 | 2.718 | 98.4 | 0 3 3 |
| 33.4 | 2.681 | 96.4 | 4 -3 1 |
| 34.5 | 2.603 | 99.9 | 2 1 4 |
| 35.1 | 2.554 | 77.0 | 4 -1 2 |
| 56.2 | 1.637 | 27.7 | 3 -2 8 |
| 57.3 | 1.608 | 34.2 | 1 4 6 |
| 61.9 | 1.498 | 24.9 | 7 -5 3 |